No. 1
Computed PXRD pattern of NaCo2O4 for λ = 1.5418 Å (Cu Kα), from a crystal structure in the Materials Project, relaxed with PBE+U.

Main lines, by intensity (10° ≤ 2θ ≤ 90°):
2θ (°)  I/Imax  index
15.57  100  0 2 0
40.19  32  2 2 1
49.15  23  2 4 1
36.82  18  0 0 2
61.94  16  2 6 1
49.20  12  0 4 2
31.43  12  0 4 0
44.11  9  0 3 2
66.36  8  2 0 3
68.63  6  2 2 3
86.75  5  4 4 2
77.65  4  2 8 1

Atomic structure:
Lattice parameters (Å, degrees): 5.6450 11.3845 4.8770 90.00 90.00 90.00
Space group Pmmn (No. 59, origin choice 2)
One atom of each set of equivalent atoms:
Na 0.2500 0.2500 0.0372 x2
Na 0.2500 0.7500 0.3603 x2
Co 0.0000 0.0000 0.5000 x4
Co 0.2500 0.5029 0.9971 x4
O 0.0013 0.0892 0.8369 x8
O 0.2500 0.0848 0.3234 x4
O 0.2500 0.5881 0.6688 x4



No. 2
Computed PXRD pattern of Li9Mn2Co5O16 for λ = 1.5418 Å (Cu Kα), from a crystal structure in the Materials Project, relaxed with PBE+U.

Main lines, by intensity (10° ≤ 2θ ≤ 90°):
2θ (°)  I/Imax  index
18.41  100  1 0 1
41.94  29  0 2 -2
44.27  25  2 0 -2
44.59  25  2 2 4
34.85  16  1 2 -1
62.76  15  2 2 -4
36.46  12  1 0 -3
36.58  12  1 2 3
37.33  9  2 0 2
65.17  9  0 2 6
62.51  7  2 -2 0
79.60  7  4 4 0

Atomic structure:
Lattice parameters (Å, degrees): 5.8110 5.9298 10.0075 76.02 73.45 60.90
Space group P1 (No. 1)
One atom of each set of equivalent atoms:
Li 0.0000 0.0000 0.0000 x1
Li 0.0001 0.4915 0.0046 x1
Li 0.2494 0.7490 0.2478 x1
Li 0.2501 0.2487 0.7513 x1
Li 0.2510 0.7370 0.7602 x1
Li 0.4929 0.5044 0.4988 x1
Li 0.4954 0.0065 0.4955 x1
Li 0.7401 0.2711 0.2390 x1
Li 0.7412 0.7537 0.2505 x1
Mn 0.9955 0.0056 0.4966 x1
Mn 0.9950 0.5124 0.4953 x1
Co 0.2481 0.2508 0.2497 x1
Co 0.4962 0.9866 0.0074 x1
Co 0.4977 0.4941 0.0028 x1
Co 0.7439 0.7553 0.7534 x1
Co 0.7446 0.2554 0.7507 x1
O 0.0843 0.1661 0.6155 x1
O 0.1161 0.6152 0.6200 x1
O 0.1439 0.1295 0.1307 x1
O 0.1655 0.5694 0.1304 x1
O 0.3368 0.9229 0.3697 x1
O 0.3451 0.3735 0.3754 x1
O 0.3769 0.8808 0.8754 x1
O 0.4048 0.3593 0.8788 x1
O 0.6048 0.1130 0.1357 x1
O 0.6124 0.6229 0.1109 x1
O 0.6413 0.6341 0.6206 x1
O 0.6443 0.1229 0.6296 x1
O 0.8413 0.3908 0.8698 x1
O 0.8617 0.8726 0.8728 x1
O 0.8864 0.3948 0.3690 x1
O 0.8874 0.8508 0.3903 x1



No. 3
Computed PXRD pattern of Mg4Fe5Te3O18 for λ = 1.5418 Å (Cu Kα), from a crystal structure in the Materials Project, relaxed with PBE+U.

Main lines, by intensity (10° ≤ 2θ ≤ 90°):
2θ (°)  I/Imax  index
20.46  100  3 1 0
34.11  85  1 3 -2
29.19  64  2 2 2
54.10  41  7 3 -2
27.91  35  4 0 -2
34.21  35  4 2 -2
36.40  32  6 0 0
47.28  31  5 3 2
21.61  30  2 0 2
19.71  29  1 1 -2
34.56  29  3 3 0
53.35  26  3 5 0

Atomic structure:
Lattice parameters (Å, degrees): 14.8721 9.1570 10.6786 90.00 96.08 90.00
Space group C2 (No. 5)
One atom of each set of equivalent atoms:
Mg 0.0196 0.0000 0.2757 x4
Mg 0.0272 0.3107 0.7848 x4
Mg 0.1996 0.5089 0.6676 x4
Mg 0.2100 0.7969 0.1740 x4
Fe 0.0000 0.4792 0.5000 x2
Fe 0.0000 0.8371 0.0000 x2
Fe 0.1409 0.8104 0.5209 x4
Fe 0.1417 0.5049 0.0240 x4
Fe 0.1634 0.3481 0.3063 x4
Fe 0.1688 0.9593 0.8004 x4
Te 0.0013 0.6531 0.2440 x4
Te 0.1590 0.1516 0.0606 x4
Te 0.1633 0.1583 0.5488 x4
O 0.0678 0.4721 0.6718 x4
O 0.0737 0.9745 0.9074 x4
O 0.0746 0.6626 0.9345 x4
O 0.0772 0.4882 0.1827 x4
O 0.0782 0.6455 0.4366 x4
O 0.0780 0.8271 0.1753 x4
O 0.0823 0.1804 0.2099 x4
O 0.0848 0.8385 0.6760 x4
O 0.0897 0.1431 0.6894 x4
O 0.0923 0.3112 0.4590 x4
O 0.1027 0.0010 0.4437 x4
O 0.1042 0.3297 0.9428 x4
O 0.2312 0.9906 0.6294 x4
O 0.2325 0.3201 0.1378 x4
O 0.2443 0.3029 0.6385 x4
O 0.2494 0.1807 0.4168 x4
O 0.2492 0.6134 0.1016 x4
O 0.2497 0.0028 0.1527 x4



No. 4
Computed PXRD pattern of Ca3Fe3As4O16 for λ = 1.5418 Å (Cu Kα), from a crystal structure in the Materials Project, relaxed with PBE+U.

Main lines, by intensity (10° ≤ 2θ ≤ 90°):
2θ (°)  I/Imax  index
34.05  100  3 1 -3
26.18  98  2 1 -1
29.53  79  1 1 3
11.60  74  1 0 -2
34.55  72  0 2 0
30.85  51  1 1 -5
23.14  44  1 1 -3
21.59  43  2 0 0
18.00  35  0 1 1
22.70  33  0 0 4
33.40  33  0 1 5
39.35  30  3 0 2

Atomic structure:
Lattice parameters (Å, degrees): 9.2038 5.1922 17.5165 90.00 116.56 90.00
Space group P2_1/c (No. 14)
One atom of each set of equivalent atoms:
Ca 0.0000 0.0000 0.0000 x2
Ca 0.3119 0.0410 0.2694 x4
Fe 0.1983 0.5254 0.3793 x4
Fe 0.5000 0.0000 0.5000 x2
As 0.0386 0.5070 0.1576 x4
As 0.4372 0.5069 0.5982 x4
O 0.0273 0.6627 0.6400 x4
O 0.0967 0.1581 0.5927 x4
O 0.1493 0.5915 0.8507 x4
O 0.1874 0.0538 0.7600 x4
O 0.2558 0.5479 0.5102 x4
O 0.4186 0.1965 0.9169 x4
O 0.4370 0.6147 0.6894 x4
O 0.4908 0.6957 0.8949 x4



No. 5
Computed PXRD pattern of V2ZnP2O8 for λ = 1.5418 Å (Cu Kα), from a crystal structure in the Materials Project, relaxed with PBE+U.

Main lines, by intensity (10° ≤ 2θ ≤ 90°):
2θ (°)  I/Imax  index
28.35  100  3 1 1
32.09  73  3 1 -5
33.08  65  5 1 -3
37.55  54  0 2 0
19.50  41  1 1 -1
30.85  36  2 0 -6
35.63  29  3 1 3
31.87  27  4 0 -6
43.34  26  6 0 2
33.89  22  5 1 -1
50.38  22  8 0 -8
45.09  21  8 0 -2

Atomic structure:
Lattice parameters (Å, degrees): 16.5496 4.7910 17.5021 90.00 117.00 90.00
Space group C2/c (No. 15)
One atom of each set of equivalent atoms:
V 0.0000 0.1750 0.2500 x4
V 0.0913 0.2184 0.4656 x8
V 0.2500 0.2500 0.0000 x4
Zn 0.1655 0.1799 0.1619 x8
P 0.0220 0.2873 0.6195 x8
P 0.2205 0.2140 0.3659 x8
O 0.0394 0.3887 0.1287 x8
O 0.0504 0.1557 0.7069 x8
O 0.0803 0.1448 0.5810 x8
O 0.0812 0.2561 0.9463 x8
O 0.1235 0.2213 0.3589 x8
O 0.2227 0.1012 0.5544 x8
O 0.2235 0.3318 0.2850 x8
O 0.2387 0.4148 0.1123 x8



No. 6
Computed PXRD pattern of Ca2MnP2O10 for λ = 1.5418 Å (Cu Kα), from a crystal structure in the Materials Project, relaxed with PBE+U.

Main lines, by intensity (10° ≤ 2θ ≤ 90°):
2θ (°)  I/Imax  index
13.52  100  0 0 1
27.97  95  1 -1 0
30.41  63  1 2 0
32.52  63  1 2 1
19.81  62  0 1 -1
35.30  38  2 1 0
29.14  38  1 0 2
27.23  37  0 0 2
31.00  36  1 1 2
20.17  33  1 0 1
36.46  29  1 1 -2
44.60  27  2 -1 1

Atomic structure:
Lattice parameters (Å, degrees): 5.2395 6.0965 6.7408 89.60 76.96 70.65
Space group P-1 (No. 2)
One atom of each set of equivalent atoms:
Ca 0.1710 0.1000 0.2521 x2
Mn 0.5000 0.5000 0.0000 x1
P 0.1316 0.2628 0.7687 x2
O 0.0703 0.5104 0.6972 x2
O 0.1248 0.7476 0.0580 x2
O 0.1745 0.0751 0.6016 x2
O 0.3837 0.2061 0.8698 x2
O 0.4137 0.3822 0.2400 x2



No. 7
Computed PXRD pattern of Li2MgCr3Se3S3O24 for λ = 1.5418 Å (Cu Kα), from a crystal structure in the Materials Project, relaxed with PBE+U.

Main lines, by intensity (10° ≤ 2θ ≤ 90°):
2θ (°)  I/Imax  index
23.72  100  2 1 0
14.09  66  1 0 1
23.37  62  1 -1 1
24.03  46  1 2 2
23.89  42  2 1 2
23.49  41  1 2 0
28.41  40  2 2 0
23.00  38  0 0 2
30.74  36  1 2 -1
14.26  31  0 1 1
19.67  26  1 1 2
31.32  25  -1 1 2

Atomic structure:
Lattice parameters (Å, degrees): 8.5409 8.5634 9.0814 63.61 62.64 60.83
Space group P1 (No. 1)
One atom of each set of equivalent atoms:
Li 0.0000 0.0000 0.0000 x1
Li 0.3472 0.4089 0.0100 x1
Mg 0.7453 0.3918 0.9171 x1
Cr 0.2226 0.8934 0.4446 x1
Cr 0.4232 0.0886 0.8283 x1
Cr 0.9298 0.5911 0.3078 x1
Se 0.3357 0.6978 0.1276 x1
Se 0.5236 0.4942 0.6283 x1
Se 0.8343 0.7839 0.6222 x1
S 0.0482 0.2702 0.1263 x1
S 0.1246 0.1933 0.6299 x1
S 0.6081 0.9959 0.1194 x1
O 0.0814 0.1280 0.2876 x1
O 0.0860 0.3410 0.4757 x1
O 0.1981 0.6044 0.1341 x1
O 0.2140 0.0046 0.6023 x1
O 0.2372 0.2637 0.9839 x1
O 0.2576 0.2172 0.6751 x1
O 0.2666 0.7239 0.3205 x1
O 0.2781 0.9095 0.9783 x1
O 0.3066 0.6415 0.6182 x1
O 0.4727 0.9410 0.2902 x1
O 0.5380 0.5144 0.7974 x1
O 0.5551 0.2713 0.6695 x1
O 0.5580 0.5607 0.0808 x1
O 0.5772 0.1975 0.0734 x1
O 0.5854 0.9592 0.9844 x1
O 0.6049 0.9195 0.6763 x1
O 0.6837 0.5420 0.4427 x1
O 0.8043 0.8831 0.1239 x1
O 0.8792 0.7704 0.4286 x1
O 0.8803 0.5776 0.7674 x1
O 0.9301 0.2360 0.0732 x1
O 0.9469 0.1952 0.7813 x1
O 0.9611 0.4591 0.1456 x1
O 0.9632 0.8945 0.6029 x1



No. 8
Computed PXRD pattern of MnO2 for λ = 1.5418 Å (Cu Kα), from a crystal structure in the Materials Project, relaxed with PBE+U.

Main lines, by intensity (10° ≤ 2θ ≤ 90°):
2θ (°)  I/Imax  index
12.62  100  0 0 1
17.88  87  2 0 0
36.80  64  1 1 -2
28.45  51  2 0 1
59.28  37  7 1 -5
49.02  36  5 1 -4
68.54  25  9 1 -4
36.22  22  4 0 -4
55.59  17  6 0 0
41.20  16  3 1 0
38.50  11  6 0 -3
89.45  9  6 2 0

Atomic structure:
Lattice parameters (Å, degrees): 14.0276 2.9251 9.9158 90.00 134.97 90.00
Space group C2/m (No. 12)
One atom of each set of equivalent atoms:
Mn 0.1518 0.0000 0.3183 x4
Mn 0.1668 0.5000 0.0149 x4
O 0.0426 0.0000 0.8771 x4
O 0.1566 0.5000 0.4519 x4
O 0.1647 0.5000 0.2079 x4
O 0.2043 0.5000 0.8605 x4